1.
LiCaTeSeF: simulated XRD peak list (λ = 1.5418 Å (Cu Kα)), based on a cell relaxed with PBE.
Peak positions follow from Bragg's law for the DFT cell and can differ from measured ones.

The 6 most intense peaks (2θ from 10° to 80°), sorted by position:
- 2θ = 16.1°, rel. 702, (0 0 1)
- 2θ = 20.0°, rel. 1000, (0 1 0)
- 2θ = 25.8°, rel. 669, (0 1 1)
- 2θ = 32.6°, rel. 399, (0 0 2)
- 2θ = 33.6°, rel. 373, (2 0 0)
- 2θ = 38.6°, rel. 385, (0 1 2)

Cell and atoms:
abc: 5.7992 4.4329 5.9697
angles: 90.00 113.10 90.00
Space group Pm (No. 6)
Unique sites:
Li (0.0000, 0.0000, 0.0000) [1 per cell]
Ca (0.1896, 0.5000, 0.4168) [1 per cell]
Te (0.6575, 0.5000, 0.9230) [1 per cell]
Se (0.1520, 0.5000, 0.8927) [1 per cell]
F (0.1612, 0.0000, 0.3460) [1 per cell]



2.
Ca3S2Br2: simulated XRD peak list (λ = 1.5418 Å (Cu Kα)), based on a cell relaxed with PBE.
Peak positions follow from Bragg's law for the DFT cell and can differ from measured ones.

The 6 most intense peaks (2θ from 10° to 80°), sorted by position:
- 2θ = 13.8°, rel. 379, (2 0 -1)
- 2θ = 27.3°, rel. 1000, (3 1 -1)
- 2θ = 27.9°, rel. 540, (0 0 2)
- 2θ = 28.6°, rel. 451, (3 1 0)
- 2θ = 32.7°, rel. 365, (1 1 -2)
- 2θ = 36.0°, rel. 419, (5 1 -1)

Cell and atoms:
abc: 15.2379 4.3602 7.2879
angles: 90.00 118.36 90.00
Space group C2/m (No. 12)
Unique sites:
Ca (0.0000, 0.0000, 0.0000) [2 per cell]
Ca (0.2065, 0.5000, 0.7594) [4 per cell]
S (0.1296, 0.0000, 0.8463) [4 per cell]
Br (0.1364, 0.5000, 0.2961) [4 per cell]